Entry 1:
For Mg16Al12O, a structure optimized by DFT (PBE) gives the computed PXRD pattern in this record (Cu Kα, 1.54184 Å).

Atomic structure:
a = 9.0563 Å, b = 9.0563 Å, c = 9.0563 Å
α = 108.83°, β = 108.83°, γ = 108.83°
Atoms (fractional coordinates):
Mg1 0.0000 0.0000 0.0000
Mg2 0.2060 0.5361 0.7976
Mg3 0.2060 0.7976 0.5361
Mg4 0.2110 0.2110 0.5475
Mg5 0.2110 0.5475 0.2110
Mg6 0.4953 0.9056 0.9056
Mg7 0.5361 0.2060 0.7976
Mg8 0.5361 0.7976 0.2060
Mg9 0.5475 0.2110 0.2110
Mg10 0.6611 0.6611 0.8947
Mg11 0.6611 0.8947 0.6611
Mg12 0.7976 0.2060 0.5361
Mg13 0.7976 0.5361 0.2060
Mg14 0.8947 0.6611 0.6611
Mg15 0.9056 0.4953 0.9056
Mg16 0.9056 0.9056 0.4953
Al1 0.0021 0.4082 0.4082
Al2 0.0405 0.2313 0.8466
Al3 0.0405 0.8466 0.2313
Al4 0.2313 0.0405 0.8466
Al5 0.2313 0.8466 0.0405
Al6 0.3594 0.5529 0.5529
Al7 0.4082 0.0021 0.4082
Al8 0.4082 0.4082 0.0021
Al9 0.5529 0.3594 0.5529
Al10 0.5529 0.5529 0.3594
Al11 0.8466 0.0405 0.2313
Al12 0.8466 0.2313 0.0405
O1 0.7886 0.7886 0.7886

Main lines, by angle (2θ = 10–90°):
d_spacing  2theta  Rel. int.
2.634  34.04  487
2.512  35.75  468
2.480  36.23  673
2.460  36.52  1000
2.296  39.23  366
2.239  40.28  703
2.075  43.62  297
2.045  44.30  260
1.473  63.11  240
1.437  64.91  195

***

Entry 2:
For Mg5Al7O16, a structure optimized by DFT (PBE) gives the computed PXRD pattern in this record (Cu Kα, 1.54184 Å).

Atomic structure:
a = 5.8196 Å, b = 5.7946 Å, c = 8.2429 Å
α = 90.00°, β = 90.83°, γ = 90.00°
Atoms (fractional coordinates):
Mg1 0.0000 0.0000 0.0000
Mg2 0.2463 0.0000 0.3772
Mg3 0.2492 0.5000 0.1260
Mg4 0.7508 0.5000 0.8740
Mg5 0.7537 0.0000 0.6228
Al1 0.0000 0.5000 0.5000
Al2 0.2564 0.2501 0.7477
Al3 0.2564 0.7499 0.7477
Al4 0.5000 0.0000 0.0000
Al5 0.5000 0.5000 0.5000
Al6 0.7436 0.2501 0.2523
Al7 0.7436 0.7499 0.2523
O1 0.0299 0.5000 0.7358
O2 0.0417 0.0000 0.7499
O3 0.2505 0.2793 0.5127
O4 0.2505 0.7207 0.5127
O5 0.2670 0.2327 0.9795
O6 0.2670 0.7673 0.9795
O7 0.4771 0.5000 0.7313
O8 0.4815 0.0000 0.7625
O9 0.5185 0.0000 0.2375
O10 0.5229 0.5000 0.2687
O11 0.7330 0.2327 0.0205
O12 0.7330 0.7673 0.0205
O13 0.7495 0.2793 0.4873
O14 0.7495 0.7207 0.4873
O15 0.9583 0.0000 0.2501
O16 0.9701 0.5000 0.2642

Main lines, by angle (2θ = 10–90°):
d_spacing  2theta  Rel. int.
4.734  18.74  523
2.895  30.89  383
2.486  36.14  789
2.479  36.24  421
2.470  36.37  1000
2.061  43.94  468
2.053  44.11  936
1.585  58.19  415
1.462  63.65  620
1.448  64.36  955

***

Entry 3:
For Mg6AlO8, a structure optimized by DFT (PBE) gives the computed PXRD pattern in this record (Cu Kα, 1.54184 Å).

Atomic structure:
a = 5.9756 Å, b = 5.9756 Å, c = 5.9756 Å
α = 60.00°, β = 60.00°, γ = 60.00°
Atoms (fractional coordinates):
Mg1 0.0000 0.0000 0.5000
Mg2 0.0000 0.5000 0.0000
Mg3 0.0000 0.5000 0.5000
Mg4 0.5000 0.0000 0.0000
Mg5 0.5000 0.0000 0.5000
Mg6 0.5000 0.5000 0.0000
Al1 0.0000 0.0000 0.0000
O1 0.2282 0.2282 0.7718
O2 0.2282 0.7718 0.2282
O3 0.2282 0.7718 0.7718
O4 0.2500 0.2500 0.2500
O5 0.7500 0.7500 0.7500
O6 0.7718 0.2282 0.2282
O7 0.7718 0.2282 0.7718
O8 0.7718 0.7718 0.2282

Main lines, by angle (2θ = 10–90°):
d_spacing  2theta  Rel. int.
4.879  18.18  258
4.225  21.03  39
2.548  35.22  40
2.440  36.84  64
2.113  42.80  1000
1.626  56.59  51
1.494  62.14  543
1.428  65.33  32
1.274  74.48  66
1.220  78.40  160

***

Entry 4:
For MgAlOsO6, a structure optimized by DFT (PBE) gives the computed PXRD pattern in this record (Cu Kα, 1.54184 Å).

Atomic structure:
a = 4.9623 Å, b = 4.9623 Å, c = 9.0574 Å
α = 90.00°, β = 90.00°, γ = 120.00°
Atoms (fractional coordinates):
Mg1 0.0000 0.0000 0.0000
Mg2 0.0000 0.0000 0.5000
Al1 0.3333 0.6667 0.2500
Al2 0.6667 0.3333 0.7500
Os1 0.3333 0.6667 0.7500
Os2 0.6667 0.3333 0.2500
O1 0.0000 0.3538 0.1364
O2 0.0000 0.3537 0.6364
O3 0.0000 0.6463 0.3636
O4 0.0000 0.6462 0.8636
O5 0.3537 0.0000 0.1364
O6 0.3538 0.0000 0.6364
O7 0.3537 0.3538 0.3636
O8 0.3538 0.3537 0.8636
O9 0.6462 0.0000 0.3636
O10 0.6463 0.0000 0.8636
O11 0.6462 0.6463 0.1364
O12 0.6463 0.6462 0.6364

Main lines, by angle (2θ = 10–90°):
d_spacing  2theta  Rel. int.
4.529  19.60  537
4.297  20.67  268
3.883  22.91  1000
3.117  28.64  556
2.481  36.20  302
2.470  36.37  314
2.176  41.50  449
2.091  43.28  196
1.673  54.89  395
1.599  57.66  171